Record 1
# LiNbNiO4
Simulated powder XRD pattern, CuKα. Input: a crystal structure in Alexandria, relaxed with GGA+U.
No peak broadening, texture or thermal motion is included.

Atomic structure:
```
28
Lattice="6.0505 0.0000 0.0000 0.0000 6.0505 0.0000 0.0000 0.0000 8.5985" Properties=species:S:1:pos:R:3 pbc="T T T"
Li 0.0000 1.4515 0.0000
Li 0.0000 4.5989 4.2992
Li 1.4515 0.0000 2.1496
Li 4.5989 0.0000 6.4489
Nb 1.5344 1.5344 5.3741
Nb 1.5344 4.5160 7.5237
Nb 4.5160 1.5344 3.2244
Nb 4.5160 4.5160 1.0748
Ni 1.4790 3.0252 2.1496
Ni 3.0252 1.4790 0.0000
Ni 3.0252 4.5715 4.2992
Ni 4.5715 3.0252 6.4489
O 0.0215 1.5540 2.1859
O 0.0215 4.4965 2.1133
O 1.5540 0.0215 8.5622
O 1.5564 2.9937 0.0654
O 1.5564 3.0568 4.2338
O 1.5540 6.0290 4.3356
O 2.9937 1.5564 2.0842
O 2.9937 4.4940 2.2150
O 3.0568 1.5564 6.5143
O 3.0568 4.4940 6.3835
O 4.4965 0.0215 0.0363
O 4.4940 2.9937 8.5331
O 4.4940 3.0568 4.3647
O 4.4965 6.0290 4.2629
O 6.0290 1.5540 6.4126
O 6.0290 4.4965 6.4852
```

Largest 6 diffraction maxima, most intense first, 5 to 70 degrees two-theta:
2theta	intensity
29.48	100
34.76	98
34.63	50
61.12	41
55.79	37
52.34	26

Record 2
# Li3Nb4NiO12
Simulated powder XRD pattern, CuKα. Input: a crystal structure in Alexandria, relaxed with GGA+U.
No peak broadening, texture or thermal motion is included.

Atomic structure:
```
20
Lattice="5.2720 0.0000 0.0000 0.0738 5.6204 0.0000 0.0967 0.7633 7.5794" Properties=species:S:1:pos:R:3 pbc="T T T"
Li 0.0000 0.0000 0.0000
Li 0.0941 0.4196 3.7847
Li 2.7210 3.2450 3.7469
Nb 0.1118 3.4279 2.1755
Nb 2.7329 0.9761 5.9199
Nb 2.6829 0.6175 2.1447
Nb 5.3508 3.7743 5.9377
Ni 2.8421 3.5443 7.4711
O 0.7756 3.9058 4.1458
O 1.0306 2.2412 6.5075
O 1.1008 5.3971 1.8329
O 1.8058 5.1111 6.5256
O 1.8036 2.5894 1.8337
O 2.0778 1.0883 4.1174
O 3.3353 0.7273 0.3168
O 3.6675 2.9534 5.5495
O 3.7972 4.7701 2.7584
O 4.3611 1.9438 2.7458
O 4.4723 5.7470 5.5945
O 4.8018 3.5787 0.3525
```

Largest 6 diffraction maxima, most intense first, 5 to 70 degrees two-theta:
2theta	intensity
23.47	100
23.33	98
23.05	96
34.39	79
31.79	63
32.01	62

Record 3
# Li11Nb4Ni9O24
Simulated powder XRD pattern, CuKα. Input: a crystal structure in Alexandria, relaxed with GGA+U.
No peak broadening, texture or thermal motion is included.

Atomic structure:
```
48
Lattice="5.2892 0.0000 0.0000 1.6247 9.1809 0.0000 1.3250 2.6329 9.4187" Properties=species:S:1:pos:R:3 pbc="T T T"
Li 0.0000 0.0000 0.0000
Li 2.2077 9.1776 5.1257
Li 1.6601 3.5169 1.5715
Li 3.2393 7.0549 3.1475
Li 3.9273 6.8593 8.2643
Li 3.9310 3.9940 9.0513
Li 3.2726 1.3552 4.6964
Li 4.3069 7.8301 0.3331
Li 4.8164 4.8823 6.3657
Li 6.5720 8.3586 7.8398
Li 5.9912 2.6831 4.3181
Nb 3.9178 9.7240 7.4644
Nb 3.3534 4.2321 3.9097
Nb 5.8988 8.3976 2.7642
Nb 6.5835 5.4860 8.6397
Ni 1.6454 6.3092 0.7922
Ni 2.2197 6.3335 5.9061
Ni 2.2768 3.4339 6.6597
Ni 1.6309 0.7359 2.3466
Ni 4.8787 7.6510 5.5304
Ni 4.2935 4.9894 1.1017
Ni 4.2572 2.0816 1.9476
Ni 4.9374 2.0682 7.0373
Ni 5.8357 5.4853 3.5552
O 0.7488 1.8016 0.7531
O 1.6142 4.4785 5.0204
O 3.0481 10.8428 5.9886
O 2.2855 8.1307 1.6708
O 3.1470 8.0685 6.6553
O 2.9686 5.2002 7.5250
O 2.6370 5.2500 2.3033
O 2.5261 2.5006 3.1366
O 4.7867 11.4519 8.1462
O 4.2186 8.7403 3.8310
O 4.6925 8.7243 9.0185
O 3.8938 5.9716 4.8098
O 3.5771 3.1731 0.3099
O 4.0751 3.1686 5.4582
O 5.0205 9.4985 1.2865
O 5.5964 9.4692 6.3557
O 5.1793 6.7048 1.8977
O 5.7828 6.5585 7.0974
O 4.9911 3.8107 2.7563
O 5.8068 3.8000 7.8492
O 6.7668 10.1047 3.4434
O 6.6192 7.4081 4.3660
O 7.5344 10.0714 8.5520
O 7.3652 7.2012 9.4128
```

Largest 6 diffraction maxima, most intense first, 5 to 70 degrees two-theta:
2theta	intensity
23.62	100
43.39	89
18.80	64
41.21	51
36.67	30
36.79	30

Record 4
# Li5Nb2Ni5O12
Simulated powder XRD pattern, CuKα. Input: a crystal structure in Alexandria, relaxed with GGA+U.
No peak broadening, texture or thermal motion is included.

Atomic structure:
```
24
Lattice="2.5614 -4.5632 0.0000 2.5614 4.5632 0.0000 -2.0582 0.0000 9.8263" Properties=species:S:1:pos:R:3 pbc="T T T"
Li 0.0000 0.0000 0.0000
Li 0.7943 1.3801 2.3885
Li -0.3073 0.1232 7.4210
Li 2.2702 1.3801 7.4378
Li 3.3719 0.1232 2.4053
Nb 1.5323 3.0376 4.9132
Nb 2.5614 -1.5261 0.0000
Ni 2.5614 1.4872 0.0000
Ni 0.7574 -1.5182 2.4230
Ni 1.5323 0.0280 4.9132
Ni 1.5323 -3.0703 4.9132
Ni 2.3072 -1.5182 7.4033
O 1.6383 2.9863 1.1737
O -0.1384 -0.0470 3.6979
O 0.6413 1.5652 6.1217
O 1.4263 2.9863 8.6526
O 1.7251 -0.0901 1.1724
O 2.4233 1.5652 3.7046
O 0.6346 -1.5176 6.0661
O 1.3395 -0.0901 8.6539
O 1.6794 -2.9530 1.1945
O 2.4300 -1.5176 3.7602
O 3.2030 -0.0470 6.1284
O 1.3852 -2.9530 8.6318
```

Largest 6 diffraction maxima, most intense first, 5 to 70 degrees two-theta:
2theta	intensity
41.99	100
18.06	51
36.64	47
23.62	43
43.77	42
19.45	32

Record 5
# Li6NbNi3P6O24
Simulated powder XRD pattern, CuKα. Input: a crystal structure in Alexandria, relaxed with GGA+U.
No peak broadening, texture or thermal motion is included.

Atomic structure:
```
40
Lattice="8.4900 0.0000 0.0000 4.2286 7.3956 0.0000 0.0482 4.8143 7.6484" Properties=species:S:1:pos:R:3 pbc="T T T"
Li 0.0000 0.0000 0.0000
Li 1.7316 2.3731 0.5085
Li 2.7379 4.6945 3.9564
Li 4.4407 2.5800 1.9737
Li 7.4733 7.4410 3.9916
Li 7.0527 2.7076 4.0079
Nb 8.5784 9.9200 6.2795
Ni 4.3419 7.4012 2.6189
Ni 4.3737 7.3906 7.0718
Ni 8.5490 4.9766 3.2135
P 2.5767 5.0273 1.0327
P 5.5753 9.5509 4.7864
P 7.2845 7.2246 1.0631
P 5.5448 5.2520 4.7615
P 7.3068 2.8344 0.9977
P 10.3636 7.4177 4.8620
O 0.3697 3.2938 4.4425
O 2.4886 7.3092 6.2658
O 3.6673 3.9695 0.8338
O 5.7795 6.9448 1.1285
O 5.1630 8.9363 6.1085
O 5.7758 8.4902 3.6740
O 4.5241 5.5994 3.6532
O 3.3283 1.3407 0.9258
O 7.0210 10.2360 4.9586
O 5.1982 5.9012 6.0856
O 7.8541 11.3321 7.3810
O 5.9058 2.2902 0.7770
O 8.0969 6.7073 2.2532
O 5.4465 3.6609 4.9359
O 7.0151 5.5822 4.4440
O 7.7532 8.5745 7.4119
O 7.2836 3.6838 2.2816
O 9.0652 8.3511 4.9852
O 10.2095 9.8399 7.3701
O 8.3992 1.7339 1.0262
O 11.2889 8.1239 3.8442
O 9.8896 6.0204 4.4303
O 11.5692 6.4519 1.2233
O 10.2140 4.4656 2.1991
```

Largest 6 diffraction maxima, most intense first, 5 to 70 degrees two-theta:
2theta	intensity
14.34	100
24.04	93
31.63	88
23.86	87
31.33	73
19.73	63